Diffraction record for Tl2CoSbO6. The powder X-ray diffraction pattern is simulated, not measured: it uses a crystal structure in Alexandria, relaxed with PBE+U and Cu Kα, 1.54184 Å.
Peak positions follow from Bragg's law for the DFT cell and can differ from measured ones.

The 10 most intense peaks (10° ≤ 2θ ≤ 90°), by angle:
2θ (°)  d (Å)  I (rel.)
22.00  4.040  36
30.87  2.897  100
31.76  2.817  93
38.97  2.311  13
44.88  2.020  44
49.91  1.827  19
54.32  1.689  16
56.02  1.642  40
56.58  1.627  25
74.96  1.267  15

```
Tl2CoSbO6
1.0
2.8175 1.6267 4.8001
-2.8175 1.6267 4.8001
0.0000 -3.2533 4.8001
Tl Co Sb O
2 1 1 6
Direct
0.0000 0.0000 0.0000 Tl
0.4879 0.4879 0.4879 Tl
0.2259 0.2259 0.2259 Co
0.7177 0.7177 0.7177 Sb
0.0524 0.4534 0.8655 O
0.3631 0.9381 0.5862 O
0.4534 0.8655 0.0524 O
0.5862 0.3631 0.9381 O
0.8655 0.0524 0.4534 O
0.9381 0.5862 0.3631 O
```